Ag2AuBr5: simulated XRD peak list (Cu Ka), based on a DFT-relaxed cell (PBE, Alexandria).

Peak list (8 most intense, 10 to 90 degrees two-theta, in order of falling intensity)
two_theta  I_rel
19.4  100
26.4  66
38.6  31
16.5  30
24.8  30
20.8  23
39.1  22
39.0  19

Crystal structure
a = 10.244 Å, b = 12.538 Å, c = 8.078 Å
α = 90.00°, β = 96.90°, γ = 90.00°
Positions (direct):
Ag (0.018, 0.043, 0.227)
Ag (0.018, 0.457, 0.727)
Ag (0.323, 0.687, 0.527)
Ag (0.323, 0.813, 0.027)
Ag (0.677, 0.187, 0.973)
Ag (0.677, 0.313, 0.473)
Ag (0.982, 0.543, 0.273)
Ag (0.982, 0.957, 0.773)
Au (0.351, 0.079, 0.617)
Au (0.351, 0.421, 0.117)
Au (0.649, 0.579, 0.883)
Au (0.649, 0.921, 0.383)
Br (0.076, 0.639, 0.574)
Br (0.076, 0.861, 0.074)
Br (0.130, 0.144, 0.494)
Br (0.130, 0.356, 0.994)
Br (0.252, 0.597, 0.184)
Br (0.252, 0.903, 0.684)
Br (0.430, 0.526, 0.737)
Br (0.430, 0.974, 0.237)
Br (0.439, 0.243, 0.046)
Br (0.439, 0.257, 0.546)
Br (0.561, 0.743, 0.454)
Br (0.561, 0.757, 0.954)
Br (0.570, 0.026, 0.763)
Br (0.570, 0.474, 0.263)
Br (0.748, 0.097, 0.316)
Br (0.748, 0.403, 0.816)
Br (0.870, 0.644, 0.006)
Br (0.870, 0.856, 0.506)
Br (0.924, 0.139, 0.926)
Br (0.924, 0.361, 0.426)